# 1
Structure and theoretical X-ray diffraction stick pattern of KMnCu (a crystal structure in Alexandria, relaxed with GGA-PBE; Cu Kα X-rays).

Atomic structure:
Cell: 4.2937 4.2937 5.3294 Å, 90.00 90.00 120.00°
Space group P3m1 (No. 156)
One atom of each set of equivalent atoms:
K 0.0000 0.0000 0.0000
Mn 0.3333 0.6667 0.4999
Cu 0.6667 0.3333 0.5008

Largest 8 diffraction maxima, by angle, 10° ≤ 2θ ≤ 80°:
16.63 deg, intensity 42; 29.29 deg, intensity 100; 33.63 deg, intensity 29; 42.09 deg, intensity 45; 45.55 deg, intensity 19; 52.10 deg, intensity 18; 54.92 deg, intensity 38; 69.12 deg, intensity 14

***

# 2
Structure and theoretical X-ray diffraction stick pattern of K2ZnCuMo (a crystal structure in Alexandria, relaxed with GGA-PBE; Cu Kα X-rays).

Atomic structure:
Cell: 6.186 6.186 4.738 Å, 90.00 90.00 90.00°
Space group P4/mmm (No. 123)
One atom of each set of equivalent atoms:
K 0.000 0.500 0.000
Zn 0.000 0.000 0.500
Cu 0.000 0.000 0.000
Mo 0.500 0.500 0.500

Largest 8 diffraction maxima, by angle, 10° ≤ 2θ ≤ 80°:
20.30 deg, intensity 55; 23.65 deg, intensity 30; 27.76 deg, intensity 72; 28.86 deg, intensity 100; 41.28 deg, intensity 36; 48.40 deg, intensity 44; 50.47 deg, intensity 25; 57.34 deg, intensity 26

***

# 3
Structure and theoretical X-ray diffraction stick pattern of KNaCuSi4O10 (a crystal structure in Alexandria, relaxed with GGA-PBE; Cu Kα X-rays).

Atomic structure:
Cell: 7.020 8.223 10.029 Å, 106.03 100.48 113.22°
Space group P-1 (No. 2)
One atom of each set of equivalent atoms:
K 0.160 0.299 0.498
Na 0.172 0.625 0.912
Cu 0.322 0.344 0.086
Si 0.072 0.849 0.223
Si 0.319 0.663 0.351
Si 0.330 0.109 0.771
Si 0.459 0.789 0.702
O 0.056 0.307 0.942
O 0.076 0.068 0.701
O 0.144 0.751 0.333
O 0.210 0.444 0.239
O 0.288 0.040 0.239
O 0.301 0.890 0.737
O 0.379 0.677 0.521
O 0.422 0.627 0.769
O 0.448 0.253 0.939
O 0.451 0.189 0.660

Largest 8 diffraction maxima, by angle, 10° ≤ 2θ ≤ 80°:
21.34 deg, intensity 64; 23.53 deg, intensity 29; 25.52 deg, intensity 100; 27.20 deg, intensity 58; 29.32 deg, intensity 43; 29.49 deg, intensity 45; 34.60 deg, intensity 32; 35.98 deg, intensity 29

***

# 4
Structure and theoretical X-ray diffraction stick pattern of KNaCuP (a crystal structure in Alexandria, relaxed with GGA-PBE; Cu Kα X-rays).

Atomic structure:
Cell: 4.0517 4.0517 24.1462 Å, 90.00 90.00 120.00°
Space group R3m (No. 160, hexagonal axes)
One atom of each set of equivalent atoms:
K 0.0000 0.0000 0.0000
Na 0.0000 0.0000 0.1688
Cu 0.0000 0.0000 0.7627
P 0.0000 0.0000 0.4285

Largest 8 diffraction maxima, by angle, 10° ≤ 2θ ≤ 80°:
10.99 deg, intensity 100; 29.44 deg, intensity 27; 31.52 deg, intensity 35; 36.53 deg, intensity 14; 39.38 deg, intensity 11; 44.73 deg, intensity 25; 46.21 deg, intensity 15; 65.37 deg, intensity 12

***

# 5
Structure and theoretical X-ray diffraction stick pattern of KNaCu2Se2 (a crystal structure in Alexandria, relaxed with GGA-PBE; Cu Kα X-rays).

Atomic structure:
Cell: 4.1671 4.1671 9.0861 Å, 90.00 90.00 120.00°
Space group P-3m1 (No. 164)
One atom of each set of equivalent atoms:
K 0.0000 0.0000 0.0000
Na 0.0000 0.0000 0.5000
Cu 0.3333 0.6667 0.2756
Se 0.3333 0.6667 0.7298

Largest 8 diffraction maxima, by angle, 10° ≤ 2θ ≤ 80°:
19.54 deg, intensity 62; 31.66 deg, intensity 100; 39.68 deg, intensity 20; 43.43 deg, intensity 62; 48.04 deg, intensity 34; 54.74 deg, intensity 19; 60.28 deg, intensity 33; 72.33 deg, intensity 16

***

# 6
Structure and theoretical X-ray diffraction stick pattern of KNbCu2Se4 (a crystal structure in Alexandria, relaxed with GGA-PBE; Cu Kα X-rays).

Atomic structure:
Cell: 7.814 19.306 5.734 Å, 90.00 90.00 90.00°
Space group Ama2 (No. 40)
One atom of each set of equivalent atoms:
K 0.250 0.184 0.000
Nb 0.250 0.391 0.738
Cu 0.000 0.000 0.254
Cu 0.250 0.394 0.238
Se 0.005 0.106 0.487
Se 0.250 0.290 0.486
Se 0.250 0.497 0.492

Largest 8 diffraction maxima, by angle, 10° ≤ 2θ ≤ 80°:
14.59 deg, intensity 97; 27.86 deg, intensity 89; 28.02 deg, intensity 94; 43.41 deg, intensity 100; 46.49 deg, intensity 31; 48.50 deg, intensity 49; 53.53 deg, intensity 27; 55.06 deg, intensity 28